Calculated powder diffraction line list
Compound: CsCoAsF6
Radiation: CuKα
Structure: a DFT-relaxed cell (PBE+U, Alexandria)
Peak positions follow from Bragg's law for the DFT cell and can differ from measured ones.

Structural model:
a = 5.3967 Å, b = 5.5084 Å, c = 6.4350 Å
α = 90.43°, β = 91.94°, γ = 114.22°
Atoms (fractional coordinates):
1 Cs 0.0000 0.0000 0.0000
2 Co 0.3248 0.6828 0.4988
3 As 0.6770 0.3249 0.5028
4 F 0.0521 0.4478 0.6996
5 F 0.3823 0.3633 0.3422
6 F 0.4031 0.0244 0.6817
7 F 0.5504 0.9412 0.2973
8 F 0.6326 0.5970 0.6660
9 F 0.9605 0.6017 0.3277

Largest 8 diffraction maxima, sorted by position, 15° ≤ 2θ ≤ 90°:
2θ = 22.2°, I 96; 2θ = 22.3°, I 97; 2θ = 22.7°, I 100; 2θ = 23.2°, I 90; 2θ = 23.7°, I 93; 2θ = 24.1°, I 93; 2θ = 32.7°, I 55; 2θ = 40.6°, I 64